(1)
# Ti5O9
Calculated PXRD pattern, CuKα. Input: a structure optimized by DFT (GGA-PBE).
Intensities are scaled so that the largest is 100.

Cell and atoms:
```
data_Ti5O9
_cell_length_a 5.620
_cell_length_b 7.183
_cell_length_c 8.556
_cell_angle_alpha 69.49
_cell_angle_beta 75.19
_cell_angle_gamma 71.31
_space_group_name_H-M_alt 'P -1'
_space_group_IT_number 2
loop_
_space_group_symop_operation_xyz
'x,y,z'
'-x,-y,-z'
loop_
_atom_site_label
_atom_site_fract_x
_atom_site_fract_y
_atom_site_fract_z
Ti1 0.000 0.000 0.000
Ti2 0.000 0.500 0.000
Ti3 0.278 0.174 0.575
Ti4 0.281 0.671 0.578
Ti5 0.345 0.659 0.205
Ti6 0.347 0.157 0.205
O1 0.021 0.691 0.761
O2 0.069 0.696 0.421
O3 0.083 0.696 0.081
O4 0.260 0.961 0.138
O5 0.284 0.989 0.797
O6 0.313 0.967 0.459
O7 0.374 0.351 0.978
O8 0.410 0.349 0.323
O9 0.415 0.368 0.633
```

Principal peaks in the range 15 to 90 degrees two-theta, by intensity:
- 53.11°, d 1.724, I = 100, (3 2 3)
- 30.41°, d 2.939, I = 99, (1 0 -2)
- 26.18°, d 3.404, I = 91, (1 2 1)
- 28.75°, d 3.105, I = 71, (1 2 2)
- 21.77°, d 4.082, I = 59, (1 0 -1)
- 34.18°, d 2.623, I = 57, (2 0 1)
- 35.55°, d 2.525, I = 47, (1 0 3)
- 35.99°, d 2.495, I = 40, (1 -2 0)
- 54.66°, d 1.679, I = 37, (1 4 0)
- 55.44°, d 1.657, I = 37, (2 4 3)

(2)
# Ti11O18
Calculated PXRD pattern, CuKα. Input: a structure optimized by DFT (GGA-PBE).
Intensities are scaled so that the largest is 100.

Cell and atoms:
```
data_Ti11O18
_cell_length_a 5.524
_cell_length_b 7.508
_cell_length_c 8.798
_cell_angle_alpha 113.06
_cell_angle_beta 105.41
_cell_angle_gamma 96.34
_space_group_name_H-M_alt 'P 1'
_space_group_IT_number 1
loop_
_space_group_symop_operation_xyz
'x,y,z'
loop_
_atom_site_label
_atom_site_fract_x
_atom_site_fract_y
_atom_site_fract_z
Ti1 0.000 0.000 0.000
Ti2 0.000 0.496 0.995
Ti3 0.274 0.858 0.345
Ti4 0.279 0.368 0.334
Ti5 0.330 0.332 0.661
Ti6 0.598 0.177 0.980
Ti7 0.603 0.690 0.989
Ti8 0.660 0.662 0.327
Ti9 0.661 0.165 0.330
Ti10 0.950 0.016 0.667
Ti11 0.957 0.540 0.664
O1 0.007 0.304 0.104
O2 0.030 0.329 0.454
O3 0.034 0.320 0.766
O4 0.228 0.044 0.553
O5 0.236 0.045 0.881
O6 0.264 0.053 0.229
O7 0.334 0.627 0.777
O8 0.351 0.647 0.412
O9 0.366 0.660 0.121
O10 0.573 0.363 0.223
O11 0.578 0.368 0.539
O12 0.598 0.388 0.892
O13 0.679 0.969 0.436
O14 0.696 0.990 0.100
O15 0.728 0.011 0.798
O16 0.905 0.718 0.555
O17 0.906 0.698 0.893
O18 0.906 0.700 0.203
```

Principal peaks in the range 15 to 90 degrees two-theta, by intensity:
- 32.64°, d 2.743, I = 100, (-1 2 1)
- 53.22°, d 1.721, I = 90, (3 0 -3)
- 35.30°, d 2.542, I = 80, (1 2 -3)
- 23.86°, d 3.729, I = 76, (1 0 1)
- 40.38°, d 2.234, I = 49, (2 1 -3)
- 48.84°, d 1.865, I = 39, (2 0 -4)
- 63.33°, d 1.469, I = 33, (2 4 -3)
- 70.45°, d 1.337, I = 17, (-4 2 1)
- 53.28°, d 1.719, I = 17, (-2 2 3)
- 61.64°, d 1.505, I = 16, (0 4 1)

(3)
# TiO2
Calculated PXRD pattern, CuKα. Input: a structure optimized by DFT (GGA-PBE).
Intensities are scaled so that the largest is 100.

Cell and atoms:
```
data_TiO2
_cell_length_a 9.002
_cell_length_b 2.989
_cell_length_c 10.778
_cell_angle_alpha 90.00
_cell_angle_beta 90.00
_cell_angle_gamma 90.00
_space_group_name_H-M_alt 'P n m a'
_space_group_IT_number 62
loop_
_space_group_symop_operation_xyz
'x,y,z'
'-x,-y,-z'
'-x+1/2,-y,z+1/2'
'x+1/2,y,-z+1/2'
'x+1/2,-y+1/2,-z+1/2'
'-x+1/2,y+1/2,z+1/2'
'-x,y+1/2,-z'
'x,-y+1/2,z'
loop_
_atom_site_label
_atom_site_fract_x
_atom_site_fract_y
_atom_site_fract_z
Ti1 0.050 0.250 0.118
Ti2 0.090 0.250 0.601
O1 0.029 0.750 0.717
O2 0.074 0.250 0.928
O3 0.113 0.750 0.488
O4 0.201 0.750 0.140
```

Principal peaks in the range 15 to 90 degrees two-theta, by intensity:
- 19.72°, d 4.501, I = 100, (2 0 0)
- 19.20°, d 4.624, I = 94, (1 0 2)
- 35.77°, d 2.510, I = 57, (1 1 2)
- 62.08°, d 1.495, I = 40, (0 2 0)
- 34.20°, d 2.622, I = 32, (3 0 2)
- 49.87°, d 1.829, I = 30, (2 1 4)
- 33.25°, d 2.694, I = 28, (0 0 4)
- 50.79°, d 1.798, I = 25, (4 1 0)
- 16.45°, d 5.389, I = 21, (0 0 2)
- 36.07°, d 2.490, I = 20, (2 1 0)

(4)
# TiO2
Calculated PXRD pattern, CuKα. Input: a structure optimized by DFT (GGA-PBE).
Intensities are scaled so that the largest is 100.

Cell and atoms:
```
data_TiO2
_cell_length_a 5.597
_cell_length_b 3.655
_cell_length_c 8.773
_cell_angle_alpha 90.00
_cell_angle_beta 90.00
_cell_angle_gamma 90.00
_space_group_name_H-M_alt 'P n m a'
_space_group_IT_number 62
loop_
_space_group_symop_operation_xyz
'x,y,z'
'-x,-y,-z'
'-x+1/2,-y,z+1/2'
'x+1/2,y,-z+1/2'
'x+1/2,-y+1/2,-z+1/2'
'-x+1/2,y+1/2,z+1/2'
'-x,y+1/2,-z'
'x,-y+1/2,z'
loop_
_atom_site_label
_atom_site_fract_x
_atom_site_fract_y
_atom_site_fract_z
Ti1 0.107 0.250 0.128
O1 0.078 0.750 0.707
O2 0.121 0.750 0.055
```

Principal peaks in the range 15 to 90 degrees two-theta, by intensity:
- 18.81°, d 4.719, I = 100, (1 0 1)
- 26.42°, d 3.374, I = 75, (0 1 1)
- 25.80°, d 3.453, I = 68, (1 0 2)
- 44.83°, d 2.022, I = 23, (2 0 3)
- 49.92°, d 1.827, I = 20, (0 2 0)
- 42.77°, d 2.114, I = 20, (1 1 3)
- 59.19°, d 1.561, I = 19, (2 1 4)
- 35.78°, d 2.510, I = 15, (1 1 2)
- 53.36°, d 1.717, I = 15, (3 0 2)
- 33.61°, d 2.666, I = 12, (2 0 1)

(5)
# TiO2
Calculated PXRD pattern, CuKα. Input: a structure optimized by DFT (GGA-PBE).
Intensities are scaled so that the largest is 100.

Cell and atoms:
```
data_TiO2
_cell_length_a 6.272
_cell_length_b 11.540
_cell_length_c 10.464
_cell_angle_alpha 90.00
_cell_angle_beta 90.00
_cell_angle_gamma 90.00
_space_group_name_H-M_alt 'C m m 2'
_space_group_IT_number 35
loop_
_space_group_symop_operation_xyz
'x,y,z'
'-x,-y,z'
'-x,y,z'
'x,-y,z'
'x+1/2,y+1/2,z'
'-x+1/2,-y+1/2,z'
'-x+1/2,y+1/2,z'
'x+1/2,-y+1/2,z'
loop_
_atom_site_label
_atom_site_fract_x
_atom_site_fract_y
_atom_site_fract_z
Ti1 0.000 0.246 0.000
Ti2 0.246 0.500 0.943
O1 0.000 0.000 0.861
O2 0.000 0.244 0.844
O3 0.000 0.500 0.853
O4 0.245 0.364 0.039
```

Principal peaks in the range 15 to 90 degrees two-theta, by intensity:
- 16.95°, d 5.232, I = 100, (0 0 2)
- 33.64°, d 2.664, I = 40, (2 2 1)
- 36.87°, d 2.438, I = 27, (2 2 2)
- 32.19°, d 2.781, I = 26, (0 4 1)
- 32.50°, d 2.755, I = 23, (2 2 0)
- 35.54°, d 2.526, I = 17, (0 4 2)
- 41.78°, d 2.162, I = 16, (2 2 3)
- 31.00°, d 2.885, I = 15, (0 4 0)
- 25.54°, d 3.488, I = 13, (0 0 3)
- 62.29°, d 1.491, I = 12, (2 4 5)